# BaCo2Os2O7
Simulated X-ray powder pattern, Cu Kα. Input: a PBE+U-relaxed structure.
Kinematic intensities with the Lorentz-polarization factor, no thermal factor.

```
BaCo2Os2O7
1.0
-1.8966 9.3583 2.1053
1.8966 -9.3583 2.1053
1.8966 9.3583 -2.1053
Ba Co Os O
1 2 2 7
Direct
0.0000 0.0000 0.0000 Ba
0.2183 0.4874 0.7309 Co
0.7564 0.4874 0.2691 Co
0.3672 0.9774 0.3898 Os
0.5876 0.9774 0.6102 Os
0.0993 0.4746 0.6247 O
0.2484 0.9711 0.2773 O
0.3668 0.4770 0.8898 O
0.5616 0.0616 0.5000 O
0.5872 0.4770 0.1102 O
0.6938 0.9711 0.7227 O
0.8499 0.4746 0.3753 O
```

Main lines, in order of rising 2θ (10 to 80 degrees two-theta):
25.5°, d 3.490, I 45; 27.5°, d 3.241, I 72; 31.8°, d 2.818, I 48; 32.0°, d 2.798, I 100; 33.2°, d 2.699, I 60; 33.6°, d 2.664, I 43; 38.5°, d 2.340, I 35; 43.0°, d 2.105, I 43; 48.0°, d 1.897, I 32; 58.8°, d 1.570, I 36